NaGaH8N4: simulated X-ray powder pattern (Cu Kα (λ = 1.5418 Å)), based on DFT lattice parameters and positions (GGA-PBE).
Peak positions follow from Bragg's law for the DFT cell and can differ from measured ones.

Main lines, by angle (15 to 90 degrees two-theta):
5.811 Å, 15.25 deg, intensity 28; 5.278 Å, 16.80 deg, intensity 54; 4.872 Å, 18.21 deg, intensity 32; 4.716 Å, 18.81 deg, intensity 30; 4.691 Å, 18.92 deg, intensity 35; 4.644 Å, 19.11 deg, intensity 100; 4.473 Å, 19.85 deg, intensity 38; 3.717 Å, 23.94 deg, intensity 43; 3.346 Å, 26.64 deg, intensity 28; 3.225 Å, 27.66 deg, intensity 32

Structure:
a = 7.482 Å, b = 6.450 Å, c = 13.470 Å
α = 90.00°, β = 96.47°, γ = 90.00°
Element x y z (fractional)
Na 0.245 0.223 0.185
Na 0.245 0.277 0.685
Na 0.755 0.723 0.315
Na 0.755 0.777 0.815
Ga 0.244 0.643 0.342
Ga 0.244 0.857 0.842
Ga 0.756 0.143 0.158
Ga 0.756 0.357 0.658
H 0.044 0.606 0.923
H 0.044 0.894 0.423
H 0.057 0.673 0.482
H 0.057 0.827 0.982
H 0.123 0.211 0.862
H 0.123 0.289 0.362
H 0.141 0.658 0.682
H 0.141 0.842 0.182
H 0.285 0.664 0.159
H 0.285 0.836 0.659
H 0.331 0.212 0.911
H 0.331 0.288 0.411
H 0.472 0.592 0.900
H 0.472 0.908 0.400
H 0.488 0.201 0.034
H 0.488 0.299 0.534
H 0.512 0.701 0.466
H 0.512 0.799 0.966
H 0.528 0.092 0.600
H 0.528 0.408 0.100
H 0.669 0.712 0.589
H 0.669 0.788 0.089
H 0.715 0.164 0.341
H 0.715 0.336 0.841
H 0.859 0.158 0.818
H 0.859 0.342 0.318
H 0.877 0.711 0.638
H 0.877 0.789 0.138
H 0.943 0.173 0.018
H 0.943 0.327 0.518
H 0.956 0.106 0.577
H 0.956 0.394 0.077
N 0.045 0.736 0.412
N 0.045 0.764 0.912
N 0.183 0.695 0.201
N 0.183 0.805 0.701
N 0.248 0.157 0.852
N 0.248 0.343 0.352
N 0.482 0.750 0.394
N 0.482 0.750 0.894
N 0.518 0.250 0.106
N 0.518 0.250 0.606
N 0.752 0.657 0.648
N 0.752 0.843 0.148
N 0.817 0.195 0.299
N 0.817 0.305 0.799
N 0.955 0.236 0.088
N 0.955 0.264 0.588